[1]
Diffraction record for Nb12TlTe16. The powder XRD pattern is simulated, not measured: it uses a crystal structure in Alexandria, relaxed with GGA-PBE and Cu Kα.
Lines closer than 0.1° are merged.

Crystal structure
```
58
Lattice="10.825 0.000 0.000 -5.412 9.374 0.000 0.000 0.000 14.651" Properties=species:S:1:pos:R:3 pbc="T T T"
Nb -0.688 2.172 0.000
Nb -0.694 2.175 3.664
Nb -0.691 2.173 7.325
Nb -0.694 2.175 10.987
Nb -2.210 6.773 1.833
Nb -2.207 6.774 5.496
Nb -2.207 6.774 9.155
Nb -2.210 6.773 12.818
Nb -3.188 8.884 0.000
Nb -3.182 8.888 3.664
Nb -3.185 8.886 7.325
Nb -3.182 8.888 10.987
Nb 0.652 4.074 1.833
Nb 0.650 4.076 5.496
Nb 0.650 4.076 9.155
Nb 0.652 4.074 12.818
Nb 1.558 7.902 1.833
Nb 1.557 7.899 5.496
Nb 1.557 7.899 9.155
Nb 1.558 7.902 12.818
Nb 3.876 7.686 3.664
Nb 3.876 7.690 7.325
Nb 3.876 7.686 10.987
Nb 3.875 7.693 0.000
Tl 5.412 3.125 3.422
Tl 5.412 3.125 11.229
Te 0.000 0.000 1.834
Te 0.000 0.000 5.492
Te 0.000 0.000 9.159
Te 0.000 0.000 12.817
Te -2.138 3.736 1.826
Te -2.139 3.738 5.498
Te -2.139 3.738 9.153
Te -2.138 3.736 12.825
Te 2.080 2.512 3.668
Te 2.080 2.512 10.983
Te 2.091 2.516 7.325
Te 2.095 2.517 0.000
Te 0.000 6.250 0.000
Te 0.000 6.250 3.661
Te 0.000 6.250 7.325
Te 0.000 6.250 10.990
Te -1.108 9.358 1.826
Te -1.106 9.358 5.498
Te -1.106 9.358 9.153
Te -1.108 9.358 12.825
Te 3.246 5.655 1.826
Te 3.245 5.653 5.498
Te 3.245 5.653 9.153
Te 3.246 5.655 12.825
Te 7.597 0.556 0.000
Te 7.609 0.546 3.668
Te 7.609 0.546 10.983
Te 7.601 0.553 7.325
Te 6.545 6.302 0.000
Te 6.545 6.306 7.325
Te 6.548 6.317 3.668
Te 6.548 6.317 10.983
```

Main lines, sorted by position (10 to 90 degrees two-theta):
Position (°2θ)  I_rel  index
28.57  48  3 0 0
29.45  25  1 1 4
30.99  66  2 0 4
34.50  75  3 1 0
35.24  100  2 1 4
41.49  36  2 2 4
42.65  25  1 3 4
49.13  28  3 2 4
61.98  26  3 1 8
75.60  34  3 5 4

---

[2]
Diffraction record for La2TbSn3Pd6. The powder XRD pattern is simulated, not measured: it uses a crystal structure in Alexandria, relaxed with GGA-PBE and Cu Kα.
Lines closer than 0.1° are merged.

Crystal structure
```
12
Lattice="4.123 0.000 0.000 0.000 4.123 0.000 0.000 0.000 17.825" Properties=species:S:1:pos:R:3 pbc="T T T"
La 0.000 0.000 3.296
La 0.000 0.000 14.529
Tb 0.000 0.000 8.912
Sn 2.062 2.062 0.000
Sn 2.062 2.062 5.237
Sn 2.062 2.062 12.588
Pd 0.000 2.062 6.899
Pd 0.000 2.062 10.926
Pd 2.062 0.000 6.899
Pd 2.062 0.000 10.926
Pd 2.062 2.062 2.552
Pd 2.062 2.062 15.273
```

Main lines, sorted by position (10 to 90 degrees two-theta):
Position (°2θ)  I_rel  index
22.13  33  1 0 1
26.31  100  1 0 3
30.66  42  1 1 0
31.08  55  1 1 1
34.26  55  1 1 3
36.84  54  1 1 4
41.69  70  1 0 7
43.49  68  1 1 6
43.92  99  2 0 0
62.15  44  2 1 7